Calculated XRD peak list
Compound: Ir5RuRh
Radiation: copper Kα
Structure: the GGA-PBE geometry in Alexandria

Structure:
Cell lengths 5.4000, 7.5641, 5.3602 Å; angles 90.00, 90.00, 90.00 degrees
Atoms (fractional coordinates):
Ir 0.0000 0.0000 0.0000
Ir 0.2500 0.2500 0.2573
Ir 0.2500 0.2500 0.7427
Ir 0.2500 0.7500 0.2573
Ir 0.2500 0.7500 0.7427
Ir 0.5000 0.5000 0.0000
Ir 0.7500 0.2500 0.2573
Ir 0.7500 0.2500 0.7427
Ir 0.7500 0.7500 0.2573
Ir 0.7500 0.7500 0.7427
Ru 0.0000 0.5000 0.0000
Ru 0.5000 0.0000 0.0000
Rh 0.0000 0.0000 0.5000
Rh 0.5000 0.5000 0.5000

Largest 8 diffraction maxima, in order of rising 2θ, 10 to 90 degrees two-theta:
2θ = 23.52°, intensity 20; 2θ = 41.07°, intensity 100; 2θ = 41.29°, intensity 98; 2θ = 47.82°, intensity 64; 2θ = 48.12°, intensity 32; 2θ = 70.19°, intensity 51; 2θ = 84.30°, intensity 26; 2θ = 84.72°, intensity 25